# 1
Calculated X-ray diffraction stick pattern
Compound: Ge2Bi2Te5
Radiation: CuKα
Structure: a crystal structure in the Materials Project, relaxed with PBE
Kinematic intensities with the Lorentz-polarization factor, no thermal factor.

Crystal structure
```
data_Ge2Bi2Te5
_chemical_formula_sum 'Ge2 Bi2 Te5'
_cell_length_a 4.3594
_cell_length_b 4.3594
_cell_length_c 17.4088
_cell_angle_alpha 90.00
_cell_angle_beta 90.00
_cell_angle_gamma 120.00
_space_group_name_H-M_alt 'P -3 m 1'
_space_group_IT_number 164
_space_group_name_Hall '-P 3 2"'
loop_
_atom_site_label
_atom_site_type_symbol
_atom_site_fract_x
_atom_site_fract_y
_atom_site_fract_z
Ge1 Ge 0.3333 0.6667 0.1007
Bi1 Bi 0.0000 0.0000 0.3183
Te1 Te 0.0000 0.0000 0.0000
Te2 Te 0.3333 0.6667 0.4197
Te3 Te 0.3333 0.6667 0.8030
```

Principal peaks in the range 2θ = 10–90°, in order of rising 2θ:
- 2θ 25.72, rel. 10.8
- 2θ 28.20, rel. 100.0
- 2θ 35.06, rel. 14.1
- 2θ 39.16, rel. 29.9
- 2θ 41.43, rel. 42.6
- 2θ 43.58, rel. 7.6
- 2θ 50.87, rel. 19.7
- 2θ 58.32, rel. 10.9
- 2θ 67.61, rel. 16.9
- 2θ 74.04, rel. 10.6

=====

# 2
Calculated X-ray diffraction stick pattern
Compound: GeBi2Te4
Radiation: CuKα
Structure: a crystal structure in the Materials Project, relaxed with PBE
Kinematic intensities with the Lorentz-polarization factor, no thermal factor.

Crystal structure
```
data_GeBi2Te4
_chemical_formula_sum 'Ge3 Bi6 Te12'
_cell_length_a 4.3899
_cell_length_b 4.3899
_cell_length_c 41.3379
_cell_angle_alpha 90.00
_cell_angle_beta 90.00
_cell_angle_gamma 120.00
_space_group_name_H-M_alt 'R -3 m'
_space_group_IT_number 166
_space_group_name_Hall '-R 3 2"'
loop_
_atom_site_label
_atom_site_type_symbol
_atom_site_fract_x
_atom_site_fract_y
_atom_site_fract_z
Ge1 Ge 0.0000 0.0000 0.0000
Bi1 Bi 0.0000 0.0000 0.4249
Te1 Te 0.0000 0.0000 0.1339
Te2 Te 0.0000 0.0000 0.2927
```

Principal peaks in the range 2θ = 10–90°, in order of rising 2θ:
- 2θ 12.85, rel. 10.5
- 2θ 27.91, rel. 100.0
- 2θ 33.53, rel. 6.7
- 2θ 38.61, rel. 33.7
- 2θ 41.12, rel. 38.3
- 2θ 50.43, rel. 19.8
- 2θ 57.68, rel. 10.5
- 2θ 63.48, rel. 10.5
- 2θ 67.03, rel. 16.9
- 2θ 73.26, rel. 10.4

=====

# 3
Calculated X-ray diffraction stick pattern
Compound: BiH3
Radiation: CuKα
Structure: a crystal structure in the Materials Project, relaxed with PBE
Kinematic intensities with the Lorentz-polarization factor, no thermal factor.

Crystal structure
```
data_BiH3
_chemical_formula_sum 'Bi2 H6'
_cell_length_a 3.535
_cell_length_b 3.535
_cell_length_c 6.395
_cell_angle_alpha 90.00
_cell_angle_beta 90.00
_cell_angle_gamma 90.00
_space_group_name_H-M_alt 'I 4/m m m'
_space_group_IT_number 139
_space_group_name_Hall '-I 4 2'
loop_
_atom_site_label
_atom_site_type_symbol
_atom_site_fract_x
_atom_site_fract_y
_atom_site_fract_z
Bi1 Bi 0.000 0.000 0.000
H1 H 0.000 0.000 0.500
H2 H 0.000 0.500 0.250
```

Principal peaks in the range 2θ = 10–90°, in order of rising 2θ:
- 2θ 27.90, rel. 27.2
- 2θ 28.86, rel. 100.0
- 2θ 35.92, rel. 28.6
- 2θ 46.09, rel. 30.2
- 2θ 49.96, rel. 23.0
- 2θ 51.71, rel. 10.8
- 2θ 59.78, rel. 13.7
- 2θ 60.30, rel. 26.6
- 2θ 69.83, rel. 8.8
- 2θ 74.76, rel. 14.6

=====

# 4
Calculated X-ray diffraction stick pattern
Compound: Li3BiH8O7
Radiation: CuKα
Structure: a crystal structure in the Materials Project, relaxed with PBE
Kinematic intensities with the Lorentz-polarization factor, no thermal factor.

Crystal structure
```
data_Li3BiH8O7
_chemical_formula_sum 'Li6 Bi2 H16 O14'
_cell_length_a 6.468
_cell_length_b 7.068
_cell_length_c 8.054
_cell_angle_alpha 92.59
_cell_angle_beta 91.35
_cell_angle_gamma 115.80
_space_group_name_H-M_alt 'P -1'
_space_group_IT_number 2
loop_
_space_group_symop_operation_xyz
'x,y,z'
'-x,-y,-z'
loop_
_atom_site_label
_atom_site_type_symbol
_atom_site_fract_x
_atom_site_fract_y
_atom_site_fract_z
Li1 Li 0.025 0.342 0.386
Li2 Li 0.212 0.110 0.600
Li3 Li 0.323 0.838 0.370
Bi1 Bi 0.464 0.621 0.679
H1 H 0.015 0.682 0.968
H2 H 0.016 0.335 0.741
H3 H 0.126 0.033 0.256
H4 H 0.178 0.547 0.101
H5 H 0.214 0.027 0.970
H6 H 0.237 0.258 0.963
H7 H 0.321 0.934 0.756
H8 H 0.379 0.834 0.066
O1 O 0.070 0.391 0.632
O2 O 0.137 0.393 0.100
O3 O 0.163 0.114 0.363
O4 O 0.227 0.816 0.099
O5 O 0.250 0.144 0.894
O6 O 0.322 0.881 0.643
O7 O 0.448 0.638 0.416
```

Principal peaks in the range 2θ = 10–90°, in order of rising 2θ:
- 2θ 11.01, rel. 66.2
- 2θ 13.94, rel. 72.9
- 2θ 15.23, rel. 100.0
- 2θ 17.25, rel. 81.8
- 2θ 19.00, rel. 73.2
- 2θ 26.98, rel. 44.9
- 2θ 27.24, rel. 39.4
- 2θ 29.59, rel. 36.6
- 2θ 33.26, rel. 50.2
- 2θ 33.43, rel. 46.5

=====

# 5
Calculated X-ray diffraction stick pattern
Compound: BiP4HO12
Radiation: CuKα
Structure: a crystal structure in the Materials Project, relaxed with PBE
Kinematic intensities with the Lorentz-polarization factor, no thermal factor.

Crystal structure
```
data_BiP4HO12
_chemical_formula_sum 'Bi2 P8 H2 O24'
_cell_length_a 7.248
_cell_length_b 8.777
_cell_length_c 8.995
_cell_angle_alpha 99.55
_cell_angle_beta 112.11
_cell_angle_gamma 106.49
_space_group_name_H-M_alt 'P -1'
_space_group_IT_number 2
loop_
_space_group_symop_operation_xyz
'x,y,z'
'-x,-y,-z'
loop_
_atom_site_label
_atom_site_type_symbol
_atom_site_fract_x
_atom_site_fract_y
_atom_site_fract_z
Bi1 Bi 0.096 0.267 0.260
P1 P 0.072 0.380 0.659
P2 P 0.206 0.186 0.893
P3 P 0.388 0.708 0.419
P4 P 0.426 0.867 0.155
H1 H 0.495 0.867 0.742
O1 O 0.049 0.023 0.760
O2 O 0.104 0.561 0.700
O3 O 0.162 0.342 0.837
O4 O 0.163 0.312 0.550
O5 O 0.182 0.738 0.426
O6 O 0.194 0.794 0.034
O7 O 0.237 0.214 0.071
O8 O 0.327 0.537 0.306
O9 O 0.443 0.235 0.400
O10 O 0.445 0.225 0.905
O11 O 0.450 0.943 0.805
O12 O 0.468 0.848 0.338
```

Principal peaks in the range 2θ = 10–90°, in order of rising 2θ:
- 2θ 13.08, rel. 100.0
- 2θ 14.27, rel. 63.7
- 2θ 19.98, rel. 64.3
- 2θ 20.47, rel. 71.0
- 2θ 21.16, rel. 54.7
- 2θ 22.20, rel. 99.5
- 2θ 22.42, rel. 49.7
- 2θ 26.55, rel. 59.2
- 2θ 28.07, rel. 46.0
- 2θ 32.23, rel. 55.7

=====

# 6
Calculated X-ray diffraction stick pattern
Compound: Hf3Bi
Radiation: CuKα
Structure: a crystal structure in the Materials Project, relaxed with PBE
Kinematic intensities with the Lorentz-polarization factor, no thermal factor.

Crystal structure
```
data_Hf3Bi
_chemical_formula_sum 'Hf6 Bi2'
_cell_length_a 6.3286
_cell_length_b 6.3286
_cell_length_c 5.2348
_cell_angle_alpha 90.00
_cell_angle_beta 90.00
_cell_angle_gamma 120.00
_space_group_name_H-M_alt 'P 63/m m c'
_space_group_IT_number 194
_space_group_name_Hall '-P 6c 2c'
loop_
_atom_site_label
_atom_site_type_symbol
_atom_site_fract_x
_atom_site_fract_y
_atom_site_fract_z
Hf1 Hf 0.1622 0.3245 0.2500
Bi1 Bi 0.3333 0.6667 0.7500
```

Principal peaks in the range 2θ = 10–90°, in order of rising 2θ:
- 2θ 32.68, rel. 23.2
- 2θ 34.26, rel. 27.5
- 2θ 37.03, rel. 100.0
- 2θ 48.07, rel. 16.1
- 2θ 58.32, rel. 18.0
- 2θ 63.17, rel. 21.5
- 2θ 69.41, rel. 21.6
- 2θ 71.13, rel. 15.0
- 2θ 78.85, rel. 3.8
- 2θ 81.51, rel. 3.6

=====

- What is the formula in the second record?
  GeBi2Te4

=====

What did the fourth record say?
Calculated X-ray diffraction stick pattern
Compound: Li3BiH8O7
Radiation: CuKα
Structure: a crystal structure in the Materials Project, relaxed with PBE
Kinematic intensities with the Lorentz-polarization factor, no thermal factor.

Crystal structure
```
data_Li3BiH8O7
_chemical_formula_sum 'Li6 Bi2 H16 O14'
_cell_length_a 6.468
_cell_length_b 7.068
_cell_length_c 8.054
_cell_angle_alpha 92.59
_cell_angle_beta 91.35
_cell_angle_gamma 115.80
_space_group_name_H-M_alt 'P -1'
_space_group_IT_number 2
loop_
_space_group_symop_operation_xyz
'x,y,z'
'-x,-y,-z'
loop_
_atom_site_label
_atom_site_type_symbol
_atom_site_fract_x
_atom_site_fract_y
_atom_site_fract_z
Li1 Li 0.025 0.342 0.386
Li2 Li 0.212 0.110 0.600
Li3 Li 0.323 0.838 0.370
Bi1 Bi 0.464 0.621 0.679
H1 H 0.015 0.682 0.968
H2 H 0.016 0.335 0.741
H3 H 0.126 0.033 0.256
H4 H 0.178 0.547 0.101
H5 H 0.214 0.027 0.970
H6 H 0.237 0.258 0.963
H7 H 0.321 0.934 0.756
H8 H 0.379 0.834 0.066
O1 O 0.070 0.391 0.632
O2 O 0.137 0.393 0.100
O3 O 0.163 0.114 0.363
O4 O 0.227 0.816 0.099
O5 O 0.250 0.144 0.894
O6 O 0.322 0.881 0.643
O7 O 0.448 0.638 0.416
```

Principal peaks in the range 2θ = 10–90°, in order of rising 2θ:
- 2θ 11.01, rel. 66.2
- 2θ 13.94, rel. 72.9
- 2θ 15.23, rel. 100.0
- 2θ 17.25, rel. 81.8
- 2θ 19.00, rel. 73.2
- 2θ 26.98, rel. 44.9
- 2θ 27.24, rel. 39.4
- 2θ 29.59, rel. 36.6
- 2θ 33.26, rel. 50.2
- 2θ 33.43, rel. 46.5